[1]
Theoretical powder diffractogram
Compound: Pm4C2ClF
Radiation: Cu Kα, 1.54184 Å
Structure: a DFT-relaxed cell (GGA-PBE, Alexandria)
Neutral-atom scattering factors, no anomalous dispersion.

Peak list (8 most intense, 15 to 90 degrees two-theta, in order of rising 2θ)
hkl  2θ/deg  I_rel
0 0 2  26.62  25
1 1 -1  29.09  89
1 1 1  33.02  100
1 1 -2  35.71  20
1 1 2  42.15  15
1 1 -3  45.80  25
3 1 -1  48.99  24
4 0 -2  58.04  17

Structural model:
Cell lengths 6.4357, 3.7290, 7.0347 Å; angles 90.00, 107.81, 90.00 degrees
Space group P2/m (No. 10)
Symmetry-distinct sites (fractional):
Pm 0.2294 0.0000 0.2025 (multiplicity 2)
Pm 0.2605 0.5000 0.7958 (multiplicity 2)
C 0.0000 0.5000 0.0000 (multiplicity 1)
C 0.5000 0.0000 0.0000 (multiplicity 1)
Cl 0.5000 0.5000 0.5000 (multiplicity 1)
F 0.0000 0.0000 0.5000 (multiplicity 1)

=====

[2]
Theoretical powder diffractogram
Compound: SbCSCl2F9
Radiation: Cu Kα, 1.54184 Å
Structure: a DFT-relaxed cell (GGA-PBE, Alexandria)
Neutral-atom scattering factors, no anomalous dispersion.

Peak list (8 most intense, 15 to 90 degrees two-theta, in order of rising 2θ)
hkl  2θ/deg  I_rel
1 0 -2  16.40  56
0 2 0  18.08  66
1 1 -2  18.74  29
1 0 2  19.40  29
1 1 2  21.43  100
2 0 0  22.30  39
1 2 -2  24.50  48
2 1 -2  25.98  47

Structural model:
Cell lengths 8.0927, 9.8117, 12.7696 Å; angles 90.00, 99.79, 90.00 degrees
Space group P2_1/c (No. 14)
Symmetry-distinct sites (fractional):
Sb 0.1989 0.2495 0.0648 (multiplicity 4)
C 0.3801 0.6711 0.6283 (multiplicity 4)
S 0.1737 0.6754 0.6993 (multiplicity 4)
Cl 0.1802 0.6310 0.2431 (multiplicity 4)
Cl 0.2563 0.5724 0.8312 (multiplicity 4)
F 0.0262 0.7140 0.0082 (multiplicity 4)
F 0.1225 0.0767 0.1119 (multiplicity 4)
F 0.1413 0.1669 0.6900 (multiplicity 4)
F 0.2467 0.1646 0.9385 (multiplicity 4)
F 0.2746 0.0778 0.5203 (multiplicity 4)
F 0.3265 0.6242 0.5309 (multiplicity 4)
F 0.4202 0.2096 0.1381 (multiplicity 4)
F 0.4391 0.7031 0.1256 (multiplicity 4)
F 0.4911 0.5879 0.6832 (multiplicity 4)

=====

[3]
Theoretical powder diffractogram
Compound: SiCCl3F3
Radiation: Cu Kα, 1.54184 Å
Structure: a DFT-relaxed cell (GGA-PBE, Alexandria)
Neutral-atom scattering factors, no anomalous dispersion.

Peak list (8 most intense, 15 to 90 degrees two-theta, in order of rising 2θ)
hkl  2θ/deg  I_rel
1 1 -1  17.59  100
1 1 1  18.01  40
0 2 0  18.11  45
2 2 -1  26.77  54
3 1 1  27.87  57
4 0 0  29.49  54
1 3 1  31.58  45
3 3 -1  37.67  52

Structural model:
Cell lengths 12.1223, 9.7949, 6.5906 Å; angles 90.00, 92.14, 90.00 degrees
Space group C2/m (No. 12)
Symmetry-distinct sites (fractional):
Si 0.1936 0.0000 0.1820 (multiplicity 4)
C 0.1501 0.5000 0.7414 (multiplicity 4)
Cl 0.1261 0.1708 0.2990 (multiplicity 8)
Cl 0.1793 0.0000 0.8744 (multiplicity 4)
F 0.0975 0.3876 0.8138 (multiplicity 8)
F 0.1337 0.5000 0.5344 (multiplicity 4)

=====

[4]
Theoretical powder diffractogram
Compound: TeC4Cl2F6
Radiation: Cu Kα, 1.54184 Å
Structure: a DFT-relaxed cell (GGA-PBE, Alexandria)
Neutral-atom scattering factors, no anomalous dispersion.

Peak list (8 most intense, 15 to 90 degrees two-theta, in order of rising 2θ)
hkl  2θ/deg  I_rel
0 2 1  18.23  100
0 0 2  20.53  42
2 2 -1  23.90  36
1 3 -1  25.54  83
3 1 -2  30.59  70
0 2 3  34.64  38
2 4 -1  35.77  37
3 1 2  40.69  44

Structural model:
Cell lengths 9.9494, 11.7717, 9.0576 Å; angles 90.00, 107.22, 90.00 degrees
Space group C2/c (No. 15)
Symmetry-distinct sites (fractional):
Te 0.0000 0.0711 0.2500 (multiplicity 4)
C 0.1250 0.1993 0.1870 (multiplicity 8)
C 0.2362 0.3109 0.7892 (multiplicity 8)
Cl 0.1607 0.0832 0.5243 (multiplicity 8)
F 0.0565 0.2918 0.1136 (multiplicity 8)
F 0.1588 0.2337 0.8339 (multiplicity 8)
F 0.1603 0.3984 0.7191 (multiplicity 8)

=====

[5]
Theoretical powder diffractogram
Compound: Fe3H6C6N6Cl8
Radiation: Cu Kα, 1.54184 Å
Structure: a DFT-relaxed cell (GGA-PBE, Alexandria)
Neutral-atom scattering factors, no anomalous dispersion.

Peak list (8 most intense, 15 to 90 degrees two-theta, in order of rising 2θ)
hkl  2θ/deg  I_rel
0 1 1  16.82  76
1 1 0  17.60  100
2 -1 1  22.18  71
0 0 2  27.00  61
2 1 1  30.27  59
3 -2 2  38.55  32
1 4 0  47.74  37
3 -1 3  49.76  29

Structural model:
Cell lengths 10.0806, 10.0806, 6.6119 Å; angles 90.00, 90.00, 120.00 degrees
Space group P-3 (No. 147)
Symmetry-distinct sites (fractional):
Fe 0.0000 0.0000 0.0000 (multiplicity 1)
Fe 0.3333 0.6667 0.1789 (multiplicity 2)
H 0.0893 0.3780 0.6560 (multiplicity 6)
C 0.0658 0.2783 0.7452 (multiplicity 6)
N 0.0405 0.1707 0.8373 (multiplicity 6)
Cl 0.1131 0.4759 0.2898 (multiplicity 6)
Cl 0.3333 0.6667 0.8448 (multiplicity 2)

=====

[6]
Theoretical powder diffractogram
Compound: Zr2FeCCl
Radiation: Cu Kα, 1.54184 Å
Structure: a DFT-relaxed cell (GGA-PBE, Alexandria)
Neutral-atom scattering factors, no anomalous dispersion.

Peak list (8 most intense, 15 to 90 degrees two-theta, in order of rising 2θ)
hkl  2θ/deg  I_rel
0 0 1  24.87  65
1 0 1  30.94  27
1 1 1  36.09  74
2 0 0  36.72  100
2 0 1  44.86  54
2 2 0  52.91  33
2 0 2  64.49  35
3 1 1  65.72  24

Structural model:
Cell lengths 4.8949, 4.8949, 3.5805 Å; angles 90.00, 90.00, 90.00 degrees
Space group P4/mmm (No. 123)
Symmetry-distinct sites (fractional):
Zr 0.0000 0.5000 0.0000 (multiplicity 2)
Fe 0.0000 0.0000 0.0000 (multiplicity 1)
C 0.0000 0.0000 0.5000 (multiplicity 1)
Cl 0.5000 0.5000 0.5000 (multiplicity 1)